# 1
Diffraction record for TbGa7Cu2. The powder diffractogram is computed, not measured: it uses the PBE geometry in Alexandria and Cu Kα (weighted mean of Kα1 and Kα2).
Peak positions follow from Bragg's law for the DFT cell and can differ from measured ones.

Principal peaks in the range 2θ from 10° to 90°, by angle:
13.03 deg, intensity 29; 22.59 deg, intensity 26; 26.07 deg, intensity 62; 32.09 deg, intensity 26; 34.98 deg, intensity 100; 41.86 deg, intensity 55; 42.11 deg, intensity 52; 45.90 deg, intensity 30; 46.14 deg, intensity 23; 59.02 deg, intensity 25

Atomic structure:
a = 7.815 Å, b = 7.815 Å, c = 3.954 Å
α = 90.00°, β = 90.00°, γ = 119.53°
Element x y z (fractional)
Tb  0.000  0.000  0.000
Ga  0.051  0.340  0.500
Ga  0.222  0.778  0.000
Ga  0.340  0.051  0.500
Ga  0.500  0.500  0.500
Ga  0.660  0.949  0.500
Ga  0.778  0.222  0.000
Ga  0.949  0.660  0.500
Cu  0.324  0.676  0.500
Cu  0.676  0.324  0.500

# 2
Diffraction record for TbGa2Cu8. The powder diffractogram is computed, not measured: it uses the PBE geometry in Alexandria and Cu Kα (weighted mean of Kα1 and Kα2).
Peak positions follow from Bragg's law for the DFT cell and can differ from measured ones.

Principal peaks in the range 2θ from 10° to 90°, by angle:
23.50 deg, intensity 31; 27.60 deg, intensity 79; 32.23 deg, intensity 51; 37.46 deg, intensity 19; 40.48 deg, intensity 35; 41.12 deg, intensity 61; 43.73 deg, intensity 47; 48.07 deg, intensity 100; 50.24 deg, intensity 30; 67.00 deg, intensity 35

Atomic structure:
a = 6.210 Å, b = 6.210 Å, c = 4.775 Å
α = 90.00°, β = 90.00°, γ = 90.00°
Element x y z (fractional)
Tb  0.000  0.000  0.000
Ga  0.000  0.500  0.500
Ga  0.500  0.000  0.500
Cu  0.303  0.303  0.248
Cu  0.303  0.303  0.752
Cu  0.303  0.697  0.248
Cu  0.303  0.697  0.752
Cu  0.697  0.303  0.248
Cu  0.697  0.303  0.752
Cu  0.697  0.697  0.248
Cu  0.697  0.697  0.752

# 3
Diffraction record for Tb2Ga6Cu. The powder diffractogram is computed, not measured: it uses the PBE geometry in Alexandria and Cu Kα (weighted mean of Kα1 and Kα2).
Peak positions follow from Bragg's law for the DFT cell and can differ from measured ones.

Principal peaks in the range 2θ from 10° to 90°, by angle:
24.15 deg, intensity 13; 33.32 deg, intensity 26; 34.12 deg, intensity 100; 37.59 deg, intensity 17; 41.16 deg, intensity 29; 42.34 deg, intensity 14; 43.14 deg, intensity 26; 48.59 deg, intensity 18; 65.52 deg, intensity 14; 66.97 deg, intensity 14

Atomic structure:
a = 3.748 Å, b = 11.767 Å, c = 11.767 Å
α = 20.53°, β = 90.00°, γ = 90.00°
Element x y z (fractional)
Tb  0.000  0.000  0.000
Tb  0.000  0.333  0.333
Ga  0.000  0.623  0.623
Ga  0.000  0.736  0.736
Ga  0.500  0.112  0.112
Ga  0.500  0.222  0.222
Ga  0.500  0.444  0.444
Ga  0.500  0.882  0.882
Cu  0.500  0.549  0.549